GeB: computed PXRD pattern (Cu Ka), based on a cell relaxed with PBE.

Peak list (12 most intense, 2θ = 10–90°, by angle)
h k l  d (Å)  two_theta  I_rel
1 0 0  3.519  25.31  82
1 0 -1  3.070  29.09  12
0 1 1  2.652  33.80  100
0 0 2  2.485  36.15  26
1 1 -1  2.194  41.15  45
1 0 -2  2.169  41.63  22
1 1 1  2.049  44.19  45
1 0 2  1.914  47.51  18
2 0 0  1.759  51.98  16
2 1 -1  1.516  61.12  18
1 2 0  1.432  65.13  12
2 1 1  1.421  65.73  13

a = 3.550 Å, b = 3.136 Å, c = 5.013 Å
α = 90.00°, β = 97.60°, γ = 90.00°
Space group P2_1/m (No. 11)
Unique sites:
1 Ge 0.010 0.250 0.209 [2 per cell]
2 B 0.440 0.750 0.555 [2 per cell]